The following is a simulated X-ray diffraction stick pattern of CaSi2F8. It was derived from a structure optimized by DFT (GGA-PBE), using Cu Kα (λ = 1.5418 Å).
Lines closer than 0.1° are merged.

Cell and atoms:
a = 5.4027 Å, b = 5.4027 Å, c = 6.5224 Å
α = 112.42°, β = 112.42°, γ = 59.55°
Element x y z (fractional)
Ca1 0.0000 0.0000 0.0000
Si1 0.1370 0.1370 0.6301
Si2 0.8630 0.8630 0.3699
F1 0.1163 0.6472 0.2084
F2 0.1796 0.1796 0.3926
F3 0.3340 0.3340 0.7851
F4 0.3528 0.8837 0.7916
F5 0.6472 0.1163 0.2084
F6 0.6660 0.6660 0.2149
F7 0.8204 0.8204 0.6074
F8 0.8837 0.3528 0.7916

Main lines, most intense first (2θ = 10–90°):
2θ 19.61, I 100
2θ 39.14, I 47
2θ 31.12, I 37
2θ 44.77, I 32
2θ 44.44, I 29
2θ 21.80, I 27

=====

The following is a simulated X-ray diffraction stick pattern of Tb3GaCu4. It was derived from a structure optimized by DFT (GGA-PBE), using Cu Kα (λ = 1.5418 Å).
Lines closer than 0.1° are merged.

Cell and atoms:
a = 8.5591 Å, b = 8.5591 Å, c = 8.5591 Å
α = 154.86°, β = 140.36°, γ = 47.52°
Element x y z (fractional)
Tb1 0.0000 0.0000 0.0000
Tb2 0.2902 0.7902 0.5000
Tb3 0.7098 0.2098 0.5000
Ga1 0.5000 0.5000 0.0000
Cu1 0.0919 0.3794 0.7125
Cu2 0.3331 0.6206 0.7125
Cu3 0.6669 0.3794 0.2875
Cu4 0.9081 0.6206 0.2875

Main lines, most intense first (2θ = 10–90°):
2θ 30.72, I 100
2θ 38.61, I 41
2θ 37.50, I 39
2θ 22.91, I 25
2θ 39.79, I 21
2θ 54.73, I 19

=====

The following is a simulated X-ray diffraction stick pattern of Th3MgZn4. It was derived from a structure optimized by DFT (GGA-PBE), using Cu Kα (λ = 1.5418 Å).
Lines closer than 0.1° are merged.

Cell and atoms:
a = 9.1482 Å, b = 9.1482 Å, c = 9.1482 Å
α = 31.79°, β = 31.79°, γ = 31.79°
Element x y z (fractional)
Th1 0.0000 0.0000 0.0000
Th2 0.2451 0.2451 0.2451
Th3 0.7549 0.7549 0.7549
Mg1 0.5000 0.5000 0.5000
Zn1 0.1276 0.1276 0.1276
Zn2 0.3761 0.3761 0.3761
Zn3 0.6239 0.6239 0.6239
Zn4 0.8724 0.8724 0.8724

Main lines, most intense first (2θ = 10–90°):
2θ 34.45, I 100
2θ 35.84, I 93
2θ 24.66, I 40
2θ 63.52, I 34
2θ 50.56, I 34
2θ 60.79, I 18

=====

The following is a simulated X-ray diffraction stick pattern of Zn4GaPd3. It was derived from a structure optimized by DFT (GGA-PBE), using Cu Kα (λ = 1.5418 Å).
Lines closer than 0.1° are merged.

Cell and atoms:
a = 8.5859 Å, b = 8.5859 Å, c = 3.5713 Å
α = 101.79°, β = 101.79°, γ = 26.90°
Element x y z (fractional)
Zn1 0.1243 0.1243 0.1248
Zn2 0.2474 0.2474 0.7475
Zn3 0.7526 0.7526 0.2525
Zn4 0.8757 0.8757 0.8752
Ga1 0.5000 0.5000 0.0000
Pd1 0.0000 0.0000 0.5000
Pd2 0.3713 0.3713 0.3703
Pd3 0.6287 0.6287 0.6297

Main lines, most intense first (2θ = 10–90°):
2θ 40.40, I 100
2θ 40.51, I 99
2θ 44.38, I 38
2θ 45.42, I 36
2θ 51.16, I 25
2θ 65.38, I 23

=====

The following is a simulated X-ray diffraction stick pattern of MgIn3S4. It was derived from a structure optimized by DFT (GGA-PBE), using Cu Kα (λ = 1.5418 Å).
Lines closer than 0.1° are merged.

Cell and atoms:
a = 6.6082 Å, b = 6.6082 Å, c = 6.6082 Å
α = 90.00°, β = 90.00°, γ = 90.00°
Element x y z (fractional)
Mg1 0.0000 0.0000 0.0000
In1 0.0000 0.0000 0.5000
In2 0.0000 0.5000 0.0000
In3 0.5000 0.0000 0.0000
S1 0.2132 0.2132 0.2132
S2 0.2132 0.7868 0.7868
S3 0.7868 0.2132 0.7868
S4 0.7868 0.7868 0.2132

Main lines, most intense first (2θ = 10–90°):
2θ 23.32, I 100
2θ 38.53, I 77
2θ 13.40, I 71
2θ 45.53, I 48
2θ 26.99, I 28
2θ 69.71, I 21

=====

The following is a simulated X-ray diffraction stick pattern of LaNd2DyAs4. It was derived from a structure optimized by DFT (GGA-PBE), using Cu Kα (λ = 1.5418 Å).
Lines closer than 0.1° are merged.

Cell and atoms:
a = 8.5240 Å, b = 8.5240 Å, c = 8.5240 Å
α = 120.00°, β = 119.96°, γ = 90.03°
Element x y z (fractional)
La1 0.5000 0.0000 0.0000
La2 0.5000 0.5000 0.5000
Nd1 0.0000 0.0000 0.0000
Nd2 0.0000 0.0000 0.5000
Nd3 0.0000 0.5000 0.0000
Nd4 0.5000 0.0000 0.5000
Dy1 0.0000 0.5000 0.5000
Dy2 0.5000 0.5000 0.0000
As1 0.2441 0.7469 0.4972
As2 0.2487 0.2548 0.5062
As3 0.2487 0.7425 0.9938
As4 0.2503 0.2531 0.9972
As5 0.7497 0.7469 0.0028
As6 0.7513 0.2575 0.0062
As7 0.7513 0.7452 0.4938
As8 0.7559 0.2531 0.5028

Main lines, most intense first (2θ = 10–90°):
2θ 29.64, I 100
2θ 42.41, I 75
2θ 69.77, I 34
2θ 52.59, I 27
2θ 77.59, I 25
2θ 25.60, I 18

=====

The following is a simulated X-ray diffraction stick pattern of Na2Li2Sn. It was derived from a structure optimized by DFT (GGA-PBE), using Cu Kα (λ = 1.5418 Å).
Lines closer than 0.1° are merged.

Cell and atoms:
a = 18.6301 Å, b = 18.6301 Å, c = 18.6301 Å
α = 170.17°, β = 166.04°, γ = 17.10°
Element x y z (fractional)
Na1 0.0447 0.2947 0.7500
Na2 0.3903 0.1403 0.2500
Na3 0.6097 0.8597 0.7500
Na4 0.9553 0.7053 0.2500
Li1 0.1628 0.9128 0.2500
Li2 0.2327 0.9827 0.2500
Li3 0.7673 0.0173 0.7500
Li4 0.8372 0.0872 0.7500
Sn1 0.3052 0.5552 0.7500
Sn2 0.6948 0.4448 0.2500

Main lines, most intense first (2θ = 10–90°):
2θ 20.91, I 100
2θ 35.76, I 81
2θ 37.44, I 56
2θ 19.27, I 45
2θ 32.81, I 40
2θ 23.05, I 37